The following is a computed X-ray diffraction stick pattern of MnCo2O4. It was derived from DFT lattice parameters and positions (GGA+U), using Cu Kα (λ = 1.5418 Å).
Intensities are scaled so that the largest is 100.

The 10 most intense peaks (2θ from 10° to 90°), sorted by position:
2θ/deg	I_rel	index
29.9	86	1 0 3
34.7	100	0 1 -3
35.0	48	1 2 -1
35.7	89	-1 1 2
35.8	82	2 0 0
35.9	78	2 1 -1
36.1	49	1 2 3
36.2	47	2 2 2
57.5	51	3 0 -1
62.0	78	2 0 6

a b c (Å): 5.8330 5.9210 10.2420
angles (deg): 75.42 73.68 61.33
Fractional coordinates of all 28 atoms:
Mn (0.0000, 0.0000, 0.0000)
Mn (0.0791, 0.5445, 0.8108)
Mn (0.5726, 0.0472, 0.3099)
Mn (0.8347, 0.7820, 0.5589)
Co (0.0753, 0.0461, 0.3103)
Co (0.0751, 0.5442, 0.3108)
Co (0.1514, 0.0934, 0.6214)
Co (0.3165, 0.3120, 0.0623)
Co (0.5107, 0.4842, 0.4969)
Co (0.5760, 0.5452, 0.8104)
Co (0.5771, 0.0463, 0.8100)
Co (0.6403, 0.6068, 0.1240)
O (0.1735, 0.6986, 0.4218)
O (0.1965, 0.1912, 0.4152)
O (0.1987, 0.2207, 0.9354)
O (0.2168, 0.6651, 0.9155)
O (0.4140, 0.4264, 0.1855)
O (0.4301, 0.9431, 0.1965)
O (0.4405, 0.4216, 0.7016)
O (0.4916, 0.8751, 0.6873)
O (0.6490, 0.2257, 0.9345)
O (0.7146, 0.6695, 0.9187)
O (0.7169, 0.1541, 0.4208)
O (0.7340, 0.6660, 0.4327)
O (0.9431, 0.4165, 0.7067)
O (0.9518, 0.8968, 0.2096)
O (0.9588, 0.8755, 0.6871)
O (0.9816, 0.3896, 0.1974)